[1]
Computed X-ray powder pattern of MgTa2CrAg for Cu Kα X-rays, from DFT lattice parameters and positions (PBE).
Peak positions follow from Bragg's law for the DFT cell and can differ from measured ones.

Principal peaks in the range 2θ = 10–80°, sorted by position:
4.524 Å, I = 100
3.335 Å, I = 26
2.763 Å, I = 81
2.468 Å, I = 85
2.262 Å, I = 33
2.167 Å, I = 59
1.745 Å, I = 30
1.668 Å, I = 51
1.628 Å, I = 25
1.382 Å, I = 27

Crystal structure
Cell: 4.9359 4.9359 4.5243 Å, 90.00 90.00 90.00°
Space group P4/mmm (No. 123)
One atom of each set of equivalent atoms:
Mg 0.0000 0.0000 0.0000 (multiplicity 1)
Ta 0.0000 0.5000 0.5000 (multiplicity 2)
Cr 0.5000 0.5000 0.0000 (multiplicity 1)
Ag 0.0000 0.0000 0.5000 (multiplicity 1)

---

[2]
Computed X-ray powder pattern of Li5Sn3O8 for Cu Kα X-rays, from DFT lattice parameters and positions (PBE).
Peak positions follow from Bragg's law for the DFT cell and can differ from measured ones.

Principal peaks in the range 2θ = 10–80°, sorted by position:
5.158 Å, I = 35
5.051 Å, I = 100
4.444 Å, I = 23
2.699 Å, I = 58
2.579 Å, I = 29
2.222 Å, I = 75
2.034 Å, I = 24
1.584 Å, I = 25
1.559 Å, I = 23
1.511 Å, I = 22

Crystal structure
Cell: 6.3347 6.3347 15.1533 Å, 90.00 90.00 120.00°
Space group R-3m (No. 166, hexagonal axes)
One atom of each set of equivalent atoms:
Li 0.0000 0.0000 0.0000 (multiplicity 3)
Li 0.0000 0.0000 0.5000 (multiplicity 3)
Li 0.0000 0.5000 0.0000 (multiplicity 9)
Sn 0.0000 0.5000 0.5000 (multiplicity 9)
O 0.0000 0.0000 0.2487 (multiplicity 6)
O 0.0151 0.5076 0.7567 (multiplicity 18)

---

[3]
Computed X-ray powder pattern of Sm3Si2ClO8 for Cu Kα X-rays, from DFT lattice parameters and positions (PBE).
Peak positions follow from Bragg's law for the DFT cell and can differ from measured ones.

Principal peaks in the range 2θ = 10–80°, sorted by position:
4.560 Å, I = 67
4.376 Å, I = 100
3.295 Å, I = 50
3.030 Å, I = 96
2.851 Å, I = 61
2.791 Å, I = 46
2.606 Å, I = 76
1.989 Å, I = 63
1.931 Å, I = 45
1.804 Å, I = 78

Crystal structure
Cell: 7.0720 18.1793 6.3246 Å, 90.00 90.00 90.00°
Space group Pnma (No. 62)
One atom of each set of equivalent atoms:
Sm 0.0150 0.0908 0.1269 (multiplicity 8)
Sm 0.2028 0.7500 0.3843 (multiplicity 4)
Si 0.0248 0.1000 0.6213 (multiplicity 8)
Cl 0.0450 0.2500 0.2373 (multiplicity 4)
O 0.0120 0.0313 0.7866 (multiplicity 8)
O 0.0367 0.1750 0.7747 (multiplicity 8)
O 0.1626 0.6183 0.5294 (multiplicity 8)
O 0.1958 0.0950 0.4492 (multiplicity 8)